# Cs4FeMo3O12
Theoretical X-ray powder pattern, Cu Kα. Input: a DFT-relaxed cell (PBE+U, Alexandria).
Intensities are scaled so that the largest is 100.

Structural model:
a = 6.462 Å, b = 6.462 Å, c = 24.648 Å
α = 90.12°, β = 90.12°, γ = 121.07°
Sites, in units of the cell vectors:
Cs 0.166 0.834 0.500
Cs 0.167 0.835 0.061
Cs 0.169 0.834 0.865
Cs 0.172 0.836 0.687
Cs 0.834 0.166 0.000
Cs 0.834 0.169 0.365
Cs 0.835 0.167 0.561
Cs 0.836 0.172 0.187
Fe 0.502 0.504 0.279
Fe 0.504 0.502 0.779
Mo 0.174 0.837 0.259
Mo 0.498 0.500 0.435
Mo 0.500 0.498 0.935
Mo 0.501 0.503 0.123
Mo 0.503 0.501 0.623
Mo 0.837 0.174 0.759
O 0.131 0.419 0.781
O 0.168 0.831 0.187
O 0.196 0.342 0.460
O 0.199 0.346 0.097
O 0.223 0.600 0.282
O 0.342 0.196 0.960
O 0.346 0.199 0.597
O 0.354 0.652 0.598
O 0.354 0.654 0.957
O 0.419 0.131 0.281
O 0.488 0.498 0.361
O 0.498 0.488 0.861
O 0.499 0.506 0.197
O 0.506 0.499 0.697
O 0.600 0.223 0.782
O 0.652 0.354 0.098
O 0.652 0.805 0.459
O 0.653 0.805 0.097
O 0.654 0.354 0.457
O 0.781 0.883 0.782
O 0.805 0.652 0.959
O 0.805 0.653 0.597
O 0.831 0.168 0.687
O 0.883 0.781 0.282

Top 10 peaks for 10 to 90 degrees two-theta, sorted by position:
two_theta, I/Imax
24.00, 37.1
24.18, 73.3
26.87, 20.6
27.03, 40.3
27.61, 100.0
28.07, 48.1
36.79, 15.0
48.54, 14.4
49.40, 22.9
57.02, 15.9